For LiVTeO5, a cell relaxed with PBE+U gives the simulated XRD peak list in this record (Cu Kα (λ = 1.5418 Å)).
Neutral-atom scattering factors, no anomalous dispersion.

Top 10 peaks for 5° ≤ 2θ ≤ 70°, low angle first:
| hkl | 2theta | I/Imax |
| --- | --- | --- |
| 0 1 1 | 12.49 | 42.4 |
| 1 1 0 | 19.90 | 37.0 |
| 0 2 1 | 21.32 | 100.0 |
| 1 1 2 | 25.14 | 23.1 |
| 0 2 3 | 30.50 | 56.8 |
| 0 0 4 | 30.67 | 25.8 |
| 0 3 2 | 33.81 | 22.1 |
| 2 0 0 | 34.83 | 17.2 |
| 2 2 2 | 43.43 | 12.9 |
| 1 3 4 | 47.08 | 15.0 |

Structure:
```
data_LiVTeO5
_chemical_formula_sum 'Li4 V4 Te4 O20'
_symmetry_space_group_name_H-M 'P 21 21 21'
_symmetry_Int_Tables_number 19
_symmetry_space_group_name_Hall 'P 2ac 2ab'
_cell_length_a 5.1504
_cell_length_b 8.9322
_cell_length_c 11.6553
_cell_angle_alpha 90.00
_cell_angle_beta 90.00
_cell_angle_gamma 90.00
loop_
_atom_site_label
_atom_site_fract_x
_atom_site_fract_y
_atom_site_fract_z
Li1 0.1731 0.0496 0.4625
V1 0.1612 0.4201 0.3758
Te1 0.1778 0.6696 0.6096
O1 0.1564 0.9483 0.1145
O2 0.1726 0.1476 0.9194
O3 0.1846 0.4741 0.9971
O4 0.2259 0.2382 0.3873
O5 0.2269 0.5232 0.7313
```